1.
The following is a simulated X-ray powder pattern of AcSm14Y. It was derived from a PBE-relaxed structure, using CuKα.

Main lines, by angle (10 to 80 degrees two-theta):
2theta  I/Imax
27.89  24
30.41  25
31.85  100
41.73  16
49.34  20
54.95  21
59.07  23
59.94  16
66.56  4
76.95  8

Structural model:
```
16
Lattice="11.757 0.000 0.000 0.000 3.691 6.402 0.000 -3.691 6.402" Properties=species:S:1:pos:R:3 pbc="T T T"
Ac 0.000 0.000 0.000
Sm 0.000 -1.831 9.609
Sm 0.000 1.831 9.609
Sm 2.929 0.000 4.273
Sm 2.974 -1.836 7.484
Sm 2.974 1.836 7.484
Sm 2.983 0.000 10.664
Sm 5.879 0.000 0.007
Sm 5.879 -1.843 3.206
Sm 5.879 1.843 3.206
Sm 5.879 0.000 6.405
Sm 8.774 0.000 10.664
Sm 8.784 -1.836 7.484
Sm 8.784 1.836 7.484
Sm 8.828 0.000 4.273
Y 0.000 0.000 6.421
```

=====

2.
The following is a simulated X-ray powder pattern of K3Ga8Ag3. It was derived from a PBE-relaxed structure, using CuKα.

Main lines, by angle (10 to 80 degrees two-theta):
2theta  I/Imax
10.42  65
15.93  100
31.17  40
32.68  95
34.09  85
39.64  61
39.81  78
41.17  44
41.79  41
42.97  90

Structural model:
```
14
Lattice="-2.264 5.564 6.573 2.264 -5.564 6.573 2.264 5.564 -6.573" Properties=species:S:1:pos:R:3 pbc="T T T"
K 0.000 0.000 0.000
K 0.000 0.000 3.953
K 0.000 0.000 9.193
Ga 2.264 -1.871 2.402
Ga 2.264 -2.334 5.023
Ga 2.264 1.871 2.402
Ga 0.000 3.230 1.550
Ga 2.264 2.334 5.023
Ga 0.000 3.693 4.171
Ga 0.000 7.898 1.550
Ga 0.000 7.435 4.171
Ag 2.264 3.132 0.000
Ag 0.000 5.564 0.000
Ag 0.000 2.432 6.573
```

=====

3.
The following is a simulated X-ray powder pattern of Er7Tm2Al2. It was derived from a PBE-relaxed structure, using CuKα.

Main lines, by angle (10 to 80 degrees two-theta):
2theta  I/Imax
27.58  50
28.96  30
29.99  29
31.98  98
32.49  100
33.13  42
33.74  36
34.70  35
59.44  22
66.15  24

Structural model:
```
11
Lattice="4.343 -4.656 0.000 4.343 4.656 0.000 -1.732 0.000 7.756" Properties=species:S:1:pos:R:3 pbc="T T T"
Er 0.000 0.000 0.000
Er 1.297 1.899 6.375
Er 1.915 0.000 3.605
Er 5.658 1.899 1.381
Er 1.297 -1.899 6.375
Er 5.039 0.000 4.151
Er 5.658 -1.899 1.381
Tm 3.477 2.996 3.878
Tm 3.477 -2.996 3.878
Al 3.192 0.000 1.006
Al 3.763 0.000 6.750
```

=====

Copy entry 1 word for word.
The following is a simulated X-ray powder pattern of AcSm14Y. It was derived from a PBE-relaxed structure, using CuKα.

Main lines, by angle (10 to 80 degrees two-theta):
2theta  I/Imax
27.89  24
30.41  25
31.85  100
41.73  16
49.34  20
54.95  21
59.07  23
59.94  16
66.56  4
76.95  8

Structural model:
```
16
Lattice="11.757 0.000 0.000 0.000 3.691 6.402 0.000 -3.691 6.402" Properties=species:S:1:pos:R:3 pbc="T T T"
Ac 0.000 0.000 0.000
Sm 0.000 -1.831 9.609
Sm 0.000 1.831 9.609
Sm 2.929 0.000 4.273
Sm 2.974 -1.836 7.484
Sm 2.974 1.836 7.484
Sm 2.983 0.000 10.664
Sm 5.879 0.000 0.007
Sm 5.879 -1.843 3.206
Sm 5.879 1.843 3.206
Sm 5.879 0.000 6.405
Sm 8.774 0.000 10.664
Sm 8.784 -1.836 7.484
Sm 8.784 1.836 7.484
Sm 8.828 0.000 4.273
Y 0.000 0.000 6.421
```